The following is a computed powder diffraction line list of Sm8InPb6. It was derived from a DFT-relaxed cell (PBE, Alexandria), using copper Kα.
Neutral-atom scattering factors, no anomalous dispersion.

Main lines, sorted by position (2θ from 5° to 70°):
2θ (°), d_spacing, Rel. int.
18.8, 4.713, 28
23.3, 3.818, 28
27.4, 3.257, 28
30.4, 2.942, 24
32.9, 2.721, 100
33.4, 2.679, 94
43.3, 2.088, 28
47.6, 1.909, 26
59.1, 1.563, 18
60.1, 1.539, 18

Cell and atoms:
Cell lengths 8.487, 8.487, 8.487 Å; angles 67.46, 67.46, 67.46 degrees
Atoms (fractional coordinates):
Sm (0.124, 0.399, 0.689)
Sm (0.168, 0.168, 0.168)
Sm (0.311, 0.876, 0.601)
Sm (0.399, 0.689, 0.124)
Sm (0.601, 0.311, 0.876)
Sm (0.689, 0.124, 0.399)
Sm (0.832, 0.832, 0.832)
Sm (0.876, 0.601, 0.311)
In (0.500, 0.500, 0.500)
Pb (0.056, 0.793, 0.428)
Pb (0.207, 0.572, 0.944)
Pb (0.428, 0.056, 0.793)
Pb (0.572, 0.944, 0.207)
Pb (0.793, 0.428, 0.056)
Pb (0.944, 0.207, 0.572)

---

The following is a computed powder diffraction line list of Sm2InPb4. It was derived from a DFT-relaxed cell (PBE, Alexandria), using copper Kα.
Neutral-atom scattering factors, no anomalous dispersion.

Main lines, sorted by position (2θ from 5° to 70°):
2θ (°), d_spacing, Rel. int.
16.2, 5.477, 6
23.0, 3.873, 13
32.7, 2.739, 53
33.4, 2.685, 100
40.9, 2.207, 6
46.9, 1.936, 20
48.9, 1.863, 9
58.8, 1.571, 40
60.1, 1.540, 19
68.5, 1.369, 7

Cell and atoms:
Cell lengths 6.624, 6.624, 6.624 Å; angles 108.45, 108.45, 111.54 degrees
Atoms (fractional coordinates):
Sm (0.000, 0.500, 0.500)
Sm (0.500, 0.000, 0.500)
In (0.001, 0.001, 0.000)
Pb (0.000, 0.000, 0.499)
Pb (0.000, 0.501, 0.000)
Pb (0.501, 0.000, 0.000)
Pb (0.501, 0.501, 0.501)

---

The following is a computed powder diffraction line list of Sm2InPb. It was derived from a DFT-relaxed cell (PBE, Alexandria), using copper Kα.
Neutral-atom scattering factors, no anomalous dispersion.

Main lines, sorted by position (2θ from 5° to 70°):
2θ (°), d_spacing, Rel. int.
28.8, 3.101, 100
30.4, 2.937, 33
36.1, 2.485, 83
36.7, 2.446, 18
38.4, 2.343, 29
40.8, 2.209, 24
49.8, 1.832, 17
51.8, 1.766, 15
57.3, 1.607, 18
67.1, 1.395, 15

Cell and atoms:
Cell lengths 6.326, 4.419, 9.159 Å; angles 90.00, 108.13, 90.00 degrees
Atoms (fractional coordinates):
Sm (0.201, 0.250, 0.432)
Sm (0.294, 0.750, 0.068)
Sm (0.706, 0.250, 0.932)
Sm (0.799, 0.750, 0.568)
In (0.117, 0.250, 0.795)
In (0.883, 0.750, 0.205)
Pb (0.384, 0.750, 0.705)
Pb (0.616, 0.250, 0.295)

---

The following is a computed powder diffraction line list of Sm2In3Te6Pb. It was derived from a DFT-relaxed cell (PBE, Alexandria), using copper Kα.
Neutral-atom scattering factors, no anomalous dispersion.

Main lines, sorted by position (2θ from 5° to 70°):
2θ (°), d_spacing, Rel. int.
27.3, 3.270, 51
27.5, 3.243, 100
38.3, 2.353, 20
38.6, 2.334, 40
39.7, 2.273, 37
40.3, 2.238, 18
46.7, 1.946, 11
48.5, 1.876, 10
49.3, 1.847, 20
56.8, 1.622, 13

Cell and atoms:
Cell lengths 10.427, 10.427, 9.419 Å; angles 105.20, 105.20, 24.79 degrees
Atoms (fractional coordinates):
Sm (0.168, 0.168, 0.333)
Sm (0.832, 0.832, 0.667)
In (0.165, 0.165, 0.834)
In (0.500, 0.500, 0.500)
In (0.835, 0.835, 0.166)
Te (0.008, 0.008, 0.260)
Te (0.331, 0.331, 0.429)
Te (0.333, 0.333, 0.900)
Te (0.667, 0.667, 0.100)
Te (0.669, 0.669, 0.571)
Te (0.992, 0.992, 0.740)
Pb (0.500, 0.500, 0.000)

---

The following is a computed powder diffraction line list of In3Sn2Pb7. It was derived from a DFT-relaxed cell (PBE, Alexandria), using copper Kα.
Neutral-atom scattering factors, no anomalous dispersion.

Main lines, sorted by position (2θ from 5° to 70°):
2θ (°), d_spacing, Rel. int.
15.8, 5.597, 13
18.2, 4.869, 13
27.6, 3.236, 13
29.7, 3.004, 18
32.0, 2.800, 64
33.9, 2.647, 100
35.7, 2.518, 36
55.3, 1.661, 14
58.2, 1.585, 22
65.3, 1.428, 17

Cell and atoms:
Cell lengths 19.818, 19.818, 5.597 Å; angles 90.00, 90.00, 169.72 degrees
Atoms (fractional coordinates):
In (0.000, 0.000, 0.000)
In (0.171, 0.829, 0.000)
In (0.829, 0.171, 0.000)
Sn (0.355, 0.645, 0.500)
Sn (0.645, 0.355, 0.500)
Pb (0.072, 0.928, 0.500)
Pb (0.213, 0.787, 0.500)
Pb (0.405, 0.595, 0.000)
Pb (0.500, 0.500, 0.500)
Pb (0.595, 0.405, 0.000)
Pb (0.787, 0.213, 0.500)
Pb (0.928, 0.072, 0.500)

---

The following is a computed powder diffraction line list of In2Sn5Pb12. It was derived from a DFT-relaxed cell (PBE, Alexandria), using copper Kα.
Neutral-atom scattering factors, no anomalous dispersion.

Main lines, sorted by position (2θ from 5° to 70°):
2θ (°), d_spacing, Rel. int.
25.4, 3.500, 18
28.0, 3.189, 20
30.2, 2.961, 35
31.4, 2.851, 13
31.5, 2.840, 100
32.8, 2.727, 17
33.2, 2.698, 19
36.3, 2.477, 34
37.2, 2.420, 21
52.2, 1.754, 13

Cell and atoms:
Cell lengths 10.639, 10.639, 8.878 Å; angles 106.56, 106.56, 38.50 degrees
Atoms (fractional coordinates):
In (0.246, 0.754, 0.000)
In (0.754, 0.246, 0.000)
Sn (0.139, 0.139, 0.061)
Sn (0.254, 0.254, 0.494)
Sn (0.500, 0.500, 0.500)
Sn (0.746, 0.746, 0.506)
Sn (0.861, 0.861, 0.939)
Pb (0.010, 0.542, 0.203)
Pb (0.060, 0.060, 0.680)
Pb (0.138, 0.654, 0.632)
Pb (0.346, 0.862, 0.368)
Pb (0.404, 0.404, 0.153)
Pb (0.458, 0.990, 0.797)
Pb (0.542, 0.010, 0.203)
Pb (0.596, 0.596, 0.847)
Pb (0.654, 0.138, 0.632)
Pb (0.862, 0.346, 0.368)
Pb (0.940, 0.940, 0.320)
Pb (0.990, 0.458, 0.797)